Entry 1:
# Hg6Te2S2I
Simulated XRD peak list, Cu Kα. Input: a PBE-relaxed structure.
Kinematic intensities with the Lorentz-polarization factor, no thermal factor.

Peak list (10 most intense, 2θ from 15° to 90°, in order of rising 2θ)
two_theta  d/Å  Rel. int.
23.26  3.824  81
24.65  3.611  65
25.88  3.443  58
27.52  3.241  100
28.10  3.176  51
31.58  2.833  24
32.21  2.779  37
37.90  2.374  58
49.25  1.850  25
53.21  1.721  27

Unit cell a=8.119 b=8.119 c=8.435 alpha=117.36 beta=117.36 gamma=54.23
Element x y z (fractional)
Hg 0.150 0.671 0.747
Hg 0.265 0.265 0.133
Hg 0.329 0.850 0.253
Hg 0.671 0.150 0.747
Hg 0.735 0.735 0.867
Hg 0.850 0.329 0.253
Te 0.279 0.279 0.738
Te 0.721 0.721 0.262
S 0.030 0.030 0.774
S 0.970 0.970 0.226
I 0.500 0.500 0.500



Entry 2:
# PrH2Cl4
Simulated XRD peak list, Cu Kα. Input: a PBE-relaxed structure.
Kinematic intensities with the Lorentz-polarization factor, no thermal factor.

Peak list (10 most intense, 2θ from 15° to 90°, in order of rising 2θ)
two_theta  d/Å  Rel. int.
16.99  5.220  61
18.46  4.806  38
27.28  3.269  28
28.74  3.106  51
29.54  3.024  100
36.95  2.433  36
38.42  2.343  28
44.74  2.025  30
44.90  2.019  23
49.09  1.856  34

Unit cell a=6.927 b=3.711 c=7.276 alpha=90.00 beta=94.73 gamma=90.00
Element x y z (fractional)
Pr 0.000 0.000 0.000
H 0.247 0.500 0.322
H 0.753 0.500 0.678
Cl 0.231 0.500 0.849
Cl 0.249 0.000 0.325
Cl 0.751 0.000 0.675
Cl 0.769 0.500 0.151



Entry 3:
# UGaBr6
Simulated XRD peak list, Cu Kα. Input: a PBE-relaxed structure.
Kinematic intensities with the Lorentz-polarization factor, no thermal factor.

Peak list (10 most intense, 2θ from 15° to 90°, in order of rising 2θ)
two_theta  d/Å  Rel. int.
16.67  5.318  93
22.81  3.898  36
28.00  3.187  100
29.76  3.002  17
36.72  2.447  75
38.90  2.315  21
42.09  2.147  22
43.08  2.100  45
48.26  1.886  24
57.86  1.594  16

Unit cell a=7.269 b=7.276 c=7.833 alpha=90.01 beta=117.63 gamma=119.95
Element x y z (fractional)
U 0.000 0.000 0.000
Ga 0.000 0.500 0.500
Br 0.150 0.929 0.764
Br 0.165 0.779 0.236
Br 0.457 0.386 0.235
Br 0.543 0.614 0.765
Br 0.835 0.221 0.764
Br 0.850 0.071 0.236



Entry 4:
# MoPd
Simulated XRD peak list, Cu Kα. Input: a PBE-relaxed structure.
Kinematic intensities with the Lorentz-polarization factor, no thermal factor.

Peak list (10 most intense, 2θ from 15° to 90°, in order of rising 2θ)
two_theta  d/Å  Rel. int.
38.84  2.318  100
39.32  2.292  88
39.65  2.273  91
40.26  2.240  85
44.10  2.054  66
45.64  1.988  59
48.06  1.893  48
65.23  1.430  19
65.44  1.426  20
83.41  1.159  18

Unit cell a=2.720 b=4.726 c=5.003 alpha=97.93 beta=90.42 gamma=103.59
Element x y z (fractional)
Mo 0.085 0.255 0.366
Mo 0.915 0.745 0.634
Pd 0.392 0.757 0.131
Pd 0.608 0.243 0.869



Entry 5:
# Sm2FeC4
Simulated XRD peak list, Cu Kα. Input: a PBE-relaxed structure.
Kinematic intensities with the Lorentz-polarization factor, no thermal factor.

Peak list (10 most intense, 2θ from 15° to 90°, in order of rising 2θ)
two_theta  d/Å  Rel. int.
27.55  3.238  100
29.30  3.048  45
30.79  2.904  74
34.85  2.574  25
35.90  2.501  16
37.00  2.430  30
38.03  2.366  23
50.90  1.794  26
54.96  1.671  20
58.38  1.581  32

Unit cell a=6.765 b=6.765 c=6.765 alpha=112.54 beta=84.62 gamma=135.27
Element x y z (fractional)
Sm 0.144 0.161 0.304
Sm 0.356 0.661 0.017
Sm 0.644 0.339 0.983
Sm 0.856 0.839 0.696
Fe 0.250 0.750 0.500
Fe 0.750 0.250 0.500
C 0.078 0.661 0.739
C 0.126 0.832 0.959
C 0.374 0.332 0.706
C 0.422 0.161 0.583
C 0.578 0.839 0.417
C 0.626 0.668 0.294
C 0.874 0.168 0.041
C 0.922 0.339 0.261



Entry 6:
# LaGeRhF
Simulated XRD peak list, Cu Kα. Input: a PBE-relaxed structure.
Kinematic intensities with the Lorentz-polarization factor, no thermal factor.

Peak list (10 most intense, 2θ from 15° to 90°, in order of rising 2θ)
two_theta  d/Å  Rel. int.
23.80  3.739  19
30.06  2.973  81
32.18  2.782  24
37.16  2.420  100
43.47  2.082  58
48.11  1.891  29
53.75  1.705  31
63.18  1.472  31
66.83  1.400  21
75.61  1.258  23

Unit cell a=4.164 b=4.164 c=8.492 alpha=90.00 beta=90.00 gamma=90.00
Element x y z (fractional)
La 0.250 0.250 0.184
La 0.750 0.750 0.816
Ge 0.250 0.250 0.659
Ge 0.750 0.750 0.341
Rh 0.250 0.750 0.500
Rh 0.750 0.250 0.500
F 0.250 0.750 0.000
F 0.750 0.250 0.000